(1)
# Li7ZnIn2
Theoretical X-ray powder pattern, Cu Kα X-rays. Input: a PBE-relaxed structure.
Intensities are scaled so that the largest is 100.

Principal peaks in the range 2θ from 5° to 70°, low angle first:
2θ (°)	intensity	(hkl)
17.96	36	0 0 2
24.01	100	1 0 1
28.73	29	0 1 2
35.31	42	1 0 3
39.03	38	1 1 0
43.05	25	0 1 4
43.27	23	1 1 2
46.35	17	0 2 1
53.64	12	0 2 3
62.15	14	2 1 1

Structure:
Cell lengths 4.616, 4.616, 9.878 Å; angles 90.00, 90.00, 120.00 degrees
Element x y z (fractional)
Li (0.000, 0.000, 0.000)
Li (0.000, 0.000, 0.230)
Li (0.000, 0.000, 0.466)
Li (0.333, 0.667, 0.002)
Li (0.333, 0.667, 0.629)
Li (0.667, 0.333, 0.478)
Li (0.667, 0.333, 0.847)
Zn (0.667, 0.333, 0.159)
In (0.000, 0.000, 0.734)
In (0.333, 0.667, 0.310)

***

(2)
# Li4ZnIn5
Theoretical X-ray powder pattern, Cu Kα X-rays. Input: a PBE-relaxed structure.
Intensities are scaled so that the largest is 100.

Principal peaks in the range 2θ from 5° to 70°, low angle first:
2θ (°)	intensity	(hkl)
5.40	17	0 0 1
25.42	74	1 0 0
27.23	31	0 0 5
36.26	55	1 1 0
37.59	100	1 0 5
45.93	30	1 1 5
52.21	19	2 0 0
58.94	14	2 1 0
66.10	36	2 1 5
68.70	16	1 1 10

Structure:
Cell lengths 3.504, 3.504, 16.377 Å; angles 90.00, 90.00, 90.00 degrees
Element x y z (fractional)
Li (0.000, 0.000, 0.099)
Li (0.000, 0.000, 0.299)
Li (0.000, 0.000, 0.701)
Li (0.000, 0.000, 0.901)
Zn (0.000, 0.000, 0.500)
In (0.500, 0.500, 0.000)
In (0.500, 0.500, 0.198)
In (0.500, 0.500, 0.399)
In (0.500, 0.500, 0.601)
In (0.500, 0.500, 0.802)